Record 1
Simulated powder diffractogram of LaSm4Sc for Cu Kα, from a cell relaxed with GGA-PBE.
Lines closer than 0.1° are merged.

Structural model:
```
data_LaSm4Sc
_chemical_formula_sum 'La2 Sm8 Sc2'
_cell_length_a 6.209
_cell_length_b 10.790
_cell_length_c 6.186
_cell_angle_alpha 90.00
_cell_angle_beta 109.57
_cell_angle_gamma 90.00
_space_group_name_H-M_alt 'C 1 2/m 1'
_space_group_IT_number 12
loop_
_space_group_symop_operation_xyz
'x,y,z'
'-x,-y,-z'
'-x,y,-z'
'x,-y,z'
'x+1/2,y+1/2,z'
'-x+1/2,-y+1/2,-z'
'-x+1/2,y+1/2,-z'
'x+1/2,-y+1/2,z'
loop_
_atom_site_label
_atom_site_fract_x
_atom_site_fract_y
_atom_site_fract_z
_atom_site_occupancy
La1 0.000 0.000 0.000 1
Sm1 0.000 0.167 0.500 1
Sm2 0.000 0.336 0.000 1
Sc1 0.000 0.500 0.500 1
```

The 10 most intense peaks (2θ = 10–90°), sorted by position:
30.51°, d = 2.930 Å, rel. 100, hkl 2 0 0
30.67°, d = 2.915 Å, rel. 33, hkl 0 0 2
35.42°, d = 2.534 Å, rel. 67, hkl 1 3 1
50.77°, d = 1.798 Å, rel. 8, hkl 0 6 0
50.90°, d = 1.794 Å, rel. 16, hkl 3 3 -1
51.07°, d = 1.788 Å, rel. 23, hkl 2 0 2
60.46°, d = 1.531 Å, rel. 19, hkl 2 6 0
60.61°, d = 1.528 Å, rel. 23, hkl 3 3 1
60.76°, d = 1.524 Å, rel. 14, hkl 1 3 3
63.45°, d = 1.466 Å, rel. 8, hkl 2 6 -2

---

Record 2
Simulated powder diffractogram of LaSm2Sc2 for Cu Kα, from a cell relaxed with GGA-PBE.
Lines closer than 0.1° are merged.

Structural model:
```
data_LaSm2Sc2
_chemical_formula_sum 'La1 Sm2 Sc2'
_cell_length_a 3.536
_cell_length_b 6.010
_cell_length_c 7.766
_cell_angle_alpha 75.87
_cell_angle_beta 76.85
_cell_angle_gamma 73.04
_space_group_name_H-M_alt 'P -1'
_space_group_IT_number 2
loop_
_space_group_symop_operation_xyz
'x,y,z'
'-x,-y,-z'
loop_
_atom_site_label
_atom_site_fract_x
_atom_site_fract_y
_atom_site_fract_z
_atom_site_occupancy
La1 0.000 0.000 0.000 1
Sm1 0.403 0.789 0.406 1
Sc1 0.202 0.406 0.192 1
```

The 10 most intense peaks (2θ = 10–90°), sorted by position:
15.70°, d = 5.643 Å, rel. 11, hkl 0 1 0
17.84°, d = 4.973 Å, rel. 13, hkl 0 1 1
27.44°, d = 3.251 Å, rel. 10, hkl 1 0 1
31.23°, d = 2.864 Å, rel. 100, hkl 1 1 2
31.70°, d = 2.822 Å, rel. 33, hkl 0 2 1
36.15°, d = 2.485 Å, rel. 49, hkl 1 2 0
36.77°, d = 2.444 Å, rel. 21, hkl 0 1 3
61.98°, d = 1.497 Å, rel. 9, hkl 2 3 2
62.58°, d = 1.484 Å, rel. 9, hkl 0 0 5
62.79°, d = 1.480 Å, rel. 9, hkl 1 2 5

---

Record 3
Simulated powder diffractogram of LaSm8Sc3 for Cu Kα, from a cell relaxed with GGA-PBE.
Lines closer than 0.1° are merged.

Structural model:
```
data_LaSm8Sc3
_chemical_formula_sum 'La2 Sm16 Sc6'
_cell_length_a 6.601
_cell_length_b 10.979
_cell_length_c 11.518
_cell_angle_alpha 90.00
_cell_angle_beta 90.00
_cell_angle_gamma 90.00
_space_group_name_H-M_alt 'I m m m'
_space_group_IT_number 71
_space_group_name_Hall '-I 2 2'
loop_
_atom_site_label
_atom_site_fract_x
_atom_site_fract_y
_atom_site_fract_z
_atom_site_occupancy
La1 0.000 0.000 0.000 1
Sm1 0.000 0.168 0.255 1
Sm2 0.225 0.287 0.000 1
Sc1 0.000 0.000 0.500 1
Sc2 0.000 0.500 0.207 1
```

The 10 most intense peaks (2θ = 10–90°), sorted by position:
15.67°, d = 5.657 Å, rel. 44, hkl 1 1 0
16.15°, d = 5.490 Å, rel. 50, hkl 0 2 0
25.54°, d = 3.488 Å, rel. 24, hkl 0 3 1
31.06°, d = 2.879 Å, rel. 65, hkl 0 0 4
31.24°, d = 2.863 Å, rel. 71, hkl 2 0 2
31.99°, d = 2.798 Å, rel. 100, hkl 1 3 2
35.35°, d = 2.539 Å, rel. 77, hkl 2 2 2
36.26°, d = 2.477 Å, rel. 26, hkl 0 4 2
55.69°, d = 1.650 Å, rel. 24, hkl 4 0 0
58.07°, d = 1.588 Å, rel. 21, hkl 2 2 6

---

Record 4
Simulated powder diffractogram of La7Sm2Sc2 for Cu Kα, from a cell relaxed with GGA-PBE.
Lines closer than 0.1° are merged.

Structural model:
```
data_La7Sm2Sc2
_chemical_formula_sum 'La14 Sm4 Sc4'
_cell_length_a 11.158
_cell_length_b 11.668
_cell_length_c 6.190
_cell_angle_alpha 90.00
_cell_angle_beta 111.32
_cell_angle_gamma 90.00
_space_group_name_H-M_alt 'C 1 2/m 1'
_space_group_IT_number 12
loop_
_space_group_symop_operation_xyz
'x,y,z'
'-x,-y,-z'
'-x,y,-z'
'x,-y,z'
'x+1/2,y+1/2,z'
'-x+1/2,-y+1/2,-z'
'-x+1/2,y+1/2,-z'
'x+1/2,-y+1/2,z'
loop_
_atom_site_label
_atom_site_fract_x
_atom_site_fract_y
_atom_site_fract_z
_atom_site_occupancy
La1 0.000 0.000 0.000 1
La2 0.079 0.500 0.796 1
La3 0.183 0.241 0.188 1
Sm1 0.214 0.000 0.583 1
Sc1 0.000 0.220 0.500 1
```

The 10 most intense peaks (2θ = 10–90°), sorted by position:
25.87°, d = 3.444 Å, rel. 38, hkl 3 1 -1
29.99°, d = 2.980 Å, rel. 34, hkl 1 1 -2
30.65°, d = 2.917 Å, rel. 53, hkl 0 4 0
31.07°, d = 2.878 Å, rel. 100, hkl 2 2 1
32.23°, d = 2.777 Å, rel. 17, hkl 4 0 -1
33.30°, d = 2.690 Å, rel. 29, hkl 2 2 -2
33.91°, d = 2.644 Å, rel. 28, hkl 3 3 -1
37.22°, d = 2.416 Å, rel. 15, hkl 1 3 -2
44.23°, d = 2.048 Å, rel. 13, hkl 5 1 0
54.75°, d = 1.677 Å, rel. 18, hkl 2 6 1